(1)
Diffraction record for Ba3Bi. The XRD peak list is theoretical, not measured: it uses the PBE geometry in Alexandria and CuKα.
Peak positions follow from Bragg's law for the DFT cell and can differ from measured ones.

Atomic structure:
Cell: 8.213 8.213 8.213 Å, 146.91 136.21 55.97°
Positions (direct):
1 Ba 0.000 0.000 0.000
2 Ba 0.313 0.813 0.500
3 Ba 0.687 0.187 0.500
4 Bi 0.500 0.500 0.000

Largest 10 diffraction maxima, in order of rising 2θ, 2θ = 5–70°:
| 2θ (°) | d_spacing | I/Imax |
| --- | --- | --- |
| 15.70 | 5.643 | 19 |
| 24.55 | 3.626 | 13 |
| 26.51 | 3.362 | 19 |
| 26.95 | 3.308 | 100 |
| 29.16 | 3.063 | 27 |
| 34.55 | 2.596 | 22 |
| 38.48 | 2.339 | 21 |
| 39.81 | 2.264 | 13 |
| 50.36 | 1.812 | 18 |
| 56.46 | 1.630 | 17 |

=====

(2)
Diffraction record for Tl4InPb. The XRD peak list is theoretical, not measured: it uses the PBE geometry in Alexandria and CuKα.
Peak positions follow from Bragg's law for the DFT cell and can differ from measured ones.

Atomic structure:
Cell: 3.412 5.447 9.863 Å, 90.00 92.90 90.00°
Positions (direct):
1 Tl 0.139 0.000 0.171
2 Tl 0.216 0.500 0.660
3 Tl 0.784 0.500 0.340
4 Tl 0.861 0.000 0.829
5 In 0.500 0.000 0.500
6 Pb 0.500 0.500 0.000

Largest 10 diffraction maxima, in order of rising 2θ, 2θ = 5–70°:
| 2θ (°) | d_spacing | I/Imax |
| --- | --- | --- |
| 31.86 | 2.809 | 100 |
| 32.70 | 2.738 | 24 |
| 32.88 | 2.724 | 24 |
| 44.28 | 2.046 | 9 |
| 47.06 | 1.931 | 17 |
| 56.23 | 1.636 | 14 |
| 57.76 | 1.596 | 10 |
| 57.92 | 1.592 | 8 |
| 58.07 | 1.588 | 19 |
| 66.50 | 1.406 | 6 |

=====

(3)
Diffraction record for Ag6PtO8. The XRD peak list is theoretical, not measured: it uses the PBE geometry in Alexandria and CuKα.
Peak positions follow from Bragg's law for the DFT cell and can differ from measured ones.

Atomic structure:
Cell: 6.111 6.111 6.111 Å, 97.43 97.43 97.43°
Positions (direct):
1 Ag 0.169 0.598 0.256
2 Ag 0.256 0.169 0.598
3 Ag 0.402 0.744 0.831
4 Ag 0.598 0.256 0.169
5 Ag 0.744 0.831 0.402
6 Ag 0.831 0.402 0.744
7 Pt 0.000 0.000 0.000
8 O 0.146 0.466 0.671
9 O 0.206 0.206 0.206
10 O 0.329 0.854 0.534
11 O 0.466 0.671 0.146
12 O 0.534 0.329 0.854
13 O 0.671 0.146 0.466
14 O 0.794 0.794 0.794
15 O 0.854 0.534 0.329

Largest 10 diffraction maxima, in order of rising 2θ, 2θ = 5–70°:
| 2θ (°) | d_spacing | I/Imax |
| --- | --- | --- |
| 29.40 | 3.038 | 34 |
| 31.33 | 2.855 | 100 |
| 35.78 | 2.509 | 50 |
| 39.24 | 2.296 | 9 |
| 49.78 | 1.832 | 8 |
| 50.25 | 1.816 | 28 |
| 52.74 | 1.736 | 17 |
| 59.29 | 1.559 | 15 |
| 61.54 | 1.507 | 16 |
| 62.64 | 1.483 | 7 |

=====

(4)
Diffraction record for TaAg2Sb. The XRD peak list is theoretical, not measured: it uses the PBE geometry in Alexandria and CuKα.
Peak positions follow from Bragg's law for the DFT cell and can differ from measured ones.

Atomic structure:
Cell: 9.963 9.963 9.963 Å, 17.78 17.78 17.78°
Positions (direct):
1 Ta 0.000 0.000 0.000
2 Ag 0.254 0.254 0.254
3 Ag 0.508 0.508 0.508
4 Sb 0.747 0.747 0.747

Largest 10 diffraction maxima, in order of rising 2θ, 2θ = 5–70°:
| 2θ (°) | d_spacing | I/Imax |
| --- | --- | --- |
| 9.02 | 9.803 | 20 |
| 18.10 | 4.902 | 3 |
| 35.82 | 2.507 | 100 |
| 36.67 | 2.451 | 29 |
| 40.04 | 2.252 | 4 |
| 41.85 | 2.159 | 62 |
| 46.31 | 1.961 | 2 |
| 48.20 | 1.888 | 4 |
| 60.09 | 1.540 | 22 |
| 61.25 | 1.513 | 17 |

=====

(5)
Diffraction record for RbCuPb2Cl8. The XRD peak list is theoretical, not measured: it uses the PBE geometry in Alexandria and CuKα.
Peak positions follow from Bragg's law for the DFT cell and can differ from measured ones.

Atomic structure:
Cell: 6.588 8.775 6.843 Å, 90.00 98.47 90.00°
Positions (direct):
1 Rb 0.000 0.000 0.000
2 Cu 0.000 0.500 0.000
3 Pb 0.500 0.268 0.500
4 Pb 0.500 0.732 0.500
5 Cl 0.210 0.317 0.147
6 Cl 0.210 0.683 0.147
7 Cl 0.278 0.500 0.650
8 Cl 0.312 0.000 0.657
9 Cl 0.688 0.000 0.343
10 Cl 0.722 0.500 0.350
11 Cl 0.790 0.317 0.853
12 Cl 0.790 0.683 0.853

Largest 10 diffraction maxima, in order of rising 2θ, 2θ = 5–70°:
| 2θ (°) | d_spacing | I/Imax |
| --- | --- | --- |
| 13.08 | 6.768 | 29 |
| 13.59 | 6.516 | 29 |
| 17.45 | 5.083 | 100 |
| 20.26 | 4.383 | 80 |
| 24.18 | 3.681 | 41 |
| 24.46 | 3.639 | 58 |
| 26.84 | 3.321 | 35 |
| 34.68 | 2.587 | 38 |
| 35.30 | 2.543 | 66 |
| 38.33 | 2.348 | 32 |

=====

(6)
Diffraction record for Tl2Hg4N3. The XRD peak list is theoretical, not measured: it uses the PBE geometry in Alexandria and CuKα.
Peak positions follow from Bragg's law for the DFT cell and can differ from measured ones.

Atomic structure:
Cell: 11.367 11.367 6.838 Å, 90.00 90.00 151.16°
Positions (direct):
1 Tl 0.096 0.365 0.000
2 Tl 0.365 0.096 0.500
3 Tl 0.635 0.904 0.500
4 Tl 0.904 0.635 0.000
5 Hg 0.065 0.429 0.500
6 Hg 0.246 0.290 0.500
7 Hg 0.290 0.246 0.000
8 Hg 0.429 0.065 0.000
9 Hg 0.571 0.935 0.000
10 Hg 0.710 0.754 0.000
11 Hg 0.754 0.710 0.500
12 Hg 0.935 0.571 0.500
13 N 0.000 0.000 0.250
14 N 0.000 0.000 0.750
15 N 0.343 0.657 0.250
16 N 0.343 0.657 0.750
17 N 0.657 0.343 0.250
18 N 0.657 0.343 0.750

Largest 10 diffraction maxima, in order of rising 2θ, 2θ = 5–70°:
| 2θ (°) | d_spacing | I/Imax |
| --- | --- | --- |
| 24.25 | 3.670 | 52 |
| 26.06 | 3.419 | 94 |
| 28.81 | 3.099 | 33 |
| 31.61 | 2.831 | 56 |
| 35.18 | 2.551 | 100 |
| 35.90 | 2.502 | 31 |
| 41.41 | 2.180 | 62 |
| 48.57 | 1.874 | 32 |
| 52.12 | 1.755 | 33 |
| 58.46 | 1.579 | 36 |